Record 1
# K2Rb5Cl3O2
Simulated powder X-ray diffraction pattern, Cu Kα (weighted mean of Kα1 and Kα2). Input: DFT lattice parameters and positions (GGA-PBE).

Largest 12 diffraction maxima, by angle, 2θ = 10–90°:
two_theta  I_rel  (hkl)
13.2  24  0 0 4
26.5  100  1 1 4
30.4  95  1 1 6
32.5  81  2 0 0
33.4  34  0 0 10
46.6  27  2 2 0
47.3  48  2 0 10
54.4  27  3 1 4
56.7  30  3 1 6
58.6  24  2 2 10
60.1  13  1 1 16
87.0  16  4 2 10

Crystal structure
a = 5.513 Å, b = 5.513 Å, c = 26.807 Å
α = 90.00°, β = 90.00°, γ = 90.00°
Space group I4/mmm (No. 139)
Inequivalent atoms, fractional coordinates:
K1 0.000 0.000 0.198 (multiplicity 4)
Rb1 0.000 0.000 0.000 (multiplicity 2)
Rb2 0.000 0.500 0.101 (multiplicity 8)
Cl1 0.000 0.000 0.315 (multiplicity 4)
Cl2 0.000 0.000 0.500 (multiplicity 2)
O1 0.000 0.000 0.104 (multiplicity 4)

Record 2
# K3Rb4Cl3O2
Simulated powder X-ray diffraction pattern, Cu Kα (weighted mean of Kα1 and Kα2). Input: DFT lattice parameters and positions (GGA-PBE).

Largest 12 diffraction maxima, by angle, 2θ = 10–90°:
two_theta  I_rel  (hkl)
17.3  21  1 1 0
24.4  37  1 2 1
26.9  50  1 4 1
30.7  100  1 6 1
32.4  43  0 0 2
32.9  34  0 10 0
34.4  38  2 0 0
46.8  22  0 10 2
48.0  26  2 0 2
48.3  21  2 10 0
59.3  34  2 10 2
59.5  18  1 16 1

Crystal structure
a = 5.214 Å, b = 27.259 Å, c = 5.530 Å
α = 90.00°, β = 90.00°, γ = 90.00°
Space group Imm2 (No. 44)
Inequivalent atoms, fractional coordinates:
K1 0.000 0.000 0.000 (multiplicity 2)
K2 0.000 0.404 0.506 (multiplicity 4)
Rb1 0.000 0.094 0.525 (multiplicity 4)
Rb2 0.000 0.195 0.035 (multiplicity 4)
Cl1 0.000 0.319 0.035 (multiplicity 4)
Cl2 0.000 0.500 0.100 (multiplicity 2)
O1 0.000 0.097 0.032 (multiplicity 4)

Record 3
# K4Re2Cl10O
Simulated powder X-ray diffraction pattern, Cu Kα (weighted mean of Kα1 and Kα2). Input: DFT lattice parameters and positions (GGA-PBE).

Largest 12 diffraction maxima, by angle, 2θ = 10–90°:
two_theta  I_rel  (hkl)
13.2  100  1 0 1
17.4  20  1 1 0
19.6  10  0 0 4
24.7  11  2 0 0
26.3  27  1 1 4
27.6  18  1 0 5
28.1  26  2 1 1
35.2  33  2 2 0
37.4  12  2 1 5
44.5  12  3 1 4
45.7  11  3 2 1
50.7  10  4 0 0

Crystal structure
a = 7.206 Å, b = 7.206 Å, c = 18.090 Å
α = 90.00°, β = 90.00°, γ = 90.00°
Space group I4/mmm (No. 139)
Inequivalent atoms, fractional coordinates:
K1 0.000 0.500 0.000 (multiplicity 4)
K2 0.000 0.500 0.250 (multiplicity 4)
Re1 0.000 0.000 0.102 (multiplicity 4)
Cl1 0.000 0.000 0.236 (multiplicity 4)
Cl2 0.235 0.235 0.110 (multiplicity 16)
O1 0.000 0.000 0.000 (multiplicity 2)

Record 4
# K2RuCl5O
Simulated powder X-ray diffraction pattern, Cu Kα (weighted mean of Kα1 and Kα2). Input: DFT lattice parameters and positions (GGA-PBE).

Largest 12 diffraction maxima, by angle, 2θ = 10–90°:
two_theta  I_rel  (hkl)
13.2  100  1 0 1
17.3  17  1 1 0
19.5  13  1 0 3
26.8  29  1 1 4
28.0  19  2 1 1
28.3  18  1 0 5
32.1  39  2 0 4
35.1  66  2 2 0
44.7  13  3 1 4
45.5  12  3 2 1
50.4  20  4 0 0
55.2  18  2 2 8

Crystal structure
a = 7.241 Å, b = 7.241 Å, c = 17.521 Å
α = 90.00°, β = 90.00°, γ = 90.00°
Space group I4/mmm (No. 139)
Inequivalent atoms, fractional coordinates:
K1 0.000 0.500 0.000 (multiplicity 4)
K2 0.000 0.500 0.250 (multiplicity 4)
Ru1 0.000 0.000 0.104 (multiplicity 4)
Cl1 0.000 0.000 0.238 (multiplicity 4)
Cl2 0.233 0.233 0.113 (multiplicity 16)
O1 0.000 0.000 0.000 (multiplicity 2)
O2 0.000 0.000 0.500 (multiplicity 2)